[1]
For CeSnGe2Rh5, a structure optimized by DFT (GGA-PBE) gives the simulated powder XRD pattern in this record (λ = 1.5418 Å (Cu Kα)).
Intensities are scaled so that the largest is 100.

Most intense lines, 2θ = 5–70°, in order of rising 2θ:
2θ (°)  intensity
24.7  51
27.4  62
32.2  68
35.3  58
44.5  84
46.1  100

abc: 4.0687 4.0687 10.8049
angles: 90.00 90.00 90.00
Sites, in units of the cell vectors:
Ce1 0.0000 0.0000 0.0000
Sn1 0.0000 0.0000 0.5000
Ge1 0.5000 0.5000 0.2220
Ge2 0.5000 0.5000 0.7780
Rh1 0.0000 0.5000 0.3415
Rh2 0.0000 0.5000 0.6585
Rh3 0.5000 0.0000 0.3415
Rh4 0.5000 0.0000 0.6585
Rh5 0.5000 0.5000 0.0000

***

[2]
For Ce2Zn2Ge4Rh, a structure optimized by DFT (GGA-PBE) gives the simulated powder XRD pattern in this record (λ = 1.5418 Å (Cu Kα)).
Intensities are scaled so that the largest is 100.

Most intense lines, 2θ = 5–70°, in order of rising 2θ:
2θ (°)  intensity
28.6  37
35.2  100
40.6  62
41.3  27
44.8  19
59.3  34

abc: 6.2338 6.2338 6.2338
angles: 119.40 119.40 91.04
Sites, in units of the cell vectors:
Ce1 0.2500 0.7500 0.5000
Ce2 0.7500 0.2500 0.5000
Zn1 0.2100 0.2100 0.0000
Zn2 0.7900 0.7900 0.0000
Ge1 0.2208 0.2208 0.4415
Ge2 0.2208 0.7792 0.0000
Ge3 0.7792 0.2208 0.0000
Ge4 0.7792 0.7792 0.5585
Rh1 0.5000 0.5000 0.0000

***

[3]
For Ce3Ge2Ru2, a structure optimized by DFT (GGA-PBE) gives the simulated powder XRD pattern in this record (λ = 1.5418 Å (Cu Kα)).
Intensities are scaled so that the largest is 100.

Most intense lines, 2θ = 5–70°, in order of rising 2θ:
2θ (°)  intensity
33.3  54
34.0  49
34.2  60
35.1  55
37.3  90
39.8  100

abc: 5.5776 8.0216 13.2813
angles: 90.00 90.00 90.00
Sites, in units of the cell vectors:
Ce1 0.1270 0.2327 0.2500
Ce2 0.1270 0.2673 0.7500
Ce3 0.3380 0.5984 0.0946
Ce4 0.3380 0.5984 0.4054
Ce5 0.3380 0.9016 0.5946
Ce6 0.3380 0.9016 0.9054
Ce7 0.6620 0.0984 0.0946
Ce8 0.6620 0.0984 0.4054
Ce9 0.6620 0.4016 0.5946
Ce10 0.6620 0.4016 0.9054
Ce11 0.8730 0.7327 0.2500
Ce12 0.8730 0.7673 0.7500
Ge1 0.1596 0.2500 0.0000
Ge2 0.1596 0.2500 0.5000
Ge3 0.3781 0.6134 0.7500
Ge4 0.3781 0.8866 0.2500
Ge5 0.6219 0.1134 0.7500
Ge6 0.6219 0.3866 0.2500
Ge7 0.8404 0.7500 0.0000
Ge8 0.8404 0.7500 0.5000
Ru1 0.1345 0.5406 0.5913
Ru2 0.1345 0.5406 0.9087
Ru3 0.1345 0.9594 0.0913
Ru4 0.1345 0.9594 0.4087
Ru5 0.8655 0.0406 0.5913
Ru6 0.8655 0.0406 0.9087
Ru7 0.8655 0.4594 0.0913
Ru8 0.8655 0.4594 0.4087

***

[4]
For Ce4Ge12Ru, a structure optimized by DFT (GGA-PBE) gives the simulated powder XRD pattern in this record (λ = 1.5418 Å (Cu Kα)).
Intensities are scaled so that the largest is 100.

Most intense lines, 2θ = 5–70°, in order of rising 2θ:
2θ (°)  intensity
28.9  24
35.6  100
38.6  10
41.3  65
48.9  8
59.9  39

abc: 7.5666 7.5666 7.5666
angles: 109.47 109.47 109.47
Sites, in units of the cell vectors:
Ce1 0.0000 0.0000 0.5000
Ce2 0.0000 0.5000 0.0000
Ce3 0.5000 0.0000 0.0000
Ce4 0.5000 0.5000 0.5000
Ge1 0.0000 0.2914 0.2914
Ge2 0.0000 0.7086 0.7086
Ge3 0.2500 0.5000 0.7500
Ge4 0.2500 0.7500 0.5000
Ge5 0.2914 0.0000 0.2914
Ge6 0.2914 0.2914 0.0000
Ge7 0.5000 0.2500 0.7500
Ge8 0.5000 0.7500 0.2500
Ge9 0.7086 0.0000 0.7086
Ge10 0.7086 0.7086 0.0000
Ge11 0.7500 0.2500 0.5000
Ge12 0.7500 0.5000 0.2500
Ru1 0.0000 0.0000 0.0000